This entry pairs a crystal structure of NbCr2 with its calculated powder XRD pattern. Radiation: Cu Kα. Structure: a PBE-relaxed structure.
Lines closer than 0.1° are merged.

Structural model:
```
6
Lattice="0.0000 3.4786 3.4786 3.4786 0.0000 3.4786 3.4786 3.4786 0.0000" Properties=species:S:1:pos:R:3 pbc="T T T"
Nb 0.8696 0.8696 0.8696
Nb 6.0875 6.0875 6.0875
Cr 3.4786 1.7393 1.7393
Cr 1.7393 3.4786 1.7393
Cr 1.7393 1.7393 3.4786
Cr 3.4786 3.4786 3.4786
```

The 6 most intense peaks (5° ≤ 2θ ≤ 70°), by angle:
22.1 deg, I = 2
36.5 deg, I = 51
43.1 deg, I = 100
45.1 deg, I = 22
57.8 deg, I = 1
65.8 deg, I = 17